Structure and theoretical PXRD pattern of Co5SbO12 (a structure optimized by DFT (GGA+U); Cu Kα, 1.54184 Å).
Neutral-atom scattering factors, no anomalous dispersion.

Atomic structure:
Cell: 5.010 5.010 9.619 Å, 90.03 90.03 120.01°
Element x y z (fractional)
Co1 0.000 0.000 0.000
Co2 0.167 0.833 0.500
Co3 0.333 0.667 0.000
Co4 0.667 0.333 0.000
Co5 0.833 0.167 0.500
Sb1 0.500 0.500 0.500
O1 0.001 0.333 0.095
O2 0.150 0.150 0.398
O3 0.150 0.500 0.602
O4 0.333 0.001 0.095
O5 0.334 0.334 0.905
O6 0.500 0.150 0.602
O7 0.500 0.850 0.398
O8 0.666 0.666 0.095
O9 0.667 0.999 0.905
O10 0.850 0.500 0.398
O11 0.850 0.850 0.602
O12 0.999 0.667 0.905

The 10 most intense peaks (10 to 90 degrees two-theta), low angle first:
18.45 deg, I = 100
35.85 deg, I = 8
37.09 deg, I = 34
40.61 deg, I = 22
45.96 deg, I = 15
45.99 deg, I = 16
52.77 deg, I = 12
60.70 deg, I = 15
65.25 deg, I = 14
79.00 deg, I = 6

Structure and theoretical PXRD pattern of Co3SbO8 (a structure optimized by DFT (GGA+U); Cu Kα, 1.54184 Å).
Neutral-atom scattering factors, no anomalous dispersion.

Atomic structure:
Cell: 5.850 5.850 5.850 Å, 60.00 60.00 60.00°
Element x y z (fractional)
Co1 0.000 0.500 0.500
Co2 0.500 0.000 0.500
Co3 0.500 0.500 0.000
Sb1 0.000 0.000 0.000
O1 0.243 0.243 0.719
O2 0.243 0.719 0.243
O3 0.272 0.272 0.272
O4 0.281 0.757 0.757
O5 0.719 0.243 0.243
O6 0.728 0.728 0.728
O7 0.757 0.281 0.757
O8 0.757 0.757 0.281

The 10 most intense peaks (10 to 90 degrees two-theta), low angle first:
18.58 deg, I = 100
36.00 deg, I = 41
37.67 deg, I = 17
43.77 deg, I = 42
47.93 deg, I = 14
57.92 deg, I = 17
63.62 deg, I = 23
66.91 deg, I = 16
76.36 deg, I = 9
83.44 deg, I = 8

Structure and theoretical PXRD pattern of Y4Co13Si2Sb2O28 (a structure optimized by DFT (GGA+U); Cu Kα, 1.54184 Å).
Neutral-atom scattering factors, no anomalous dispersion.

Atomic structure:
Cell: 12.203 12.203 9.561 Å, 92.13 92.13 153.71°
Element x y z (fractional)
Y1 0.015 0.427 0.159
Y2 0.427 0.015 0.159
Y3 0.573 0.985 0.841
Y4 0.985 0.573 0.841
Co1 0.072 0.928 0.500
Co2 0.163 0.421 0.873
Co3 0.171 0.296 0.191
Co4 0.208 0.792 0.500
Co5 0.296 0.171 0.191
Co6 0.421 0.163 0.873
Co7 0.500 0.500 0.500
Co8 0.579 0.837 0.127
Co9 0.704 0.829 0.809
Co10 0.792 0.208 0.500
Co11 0.829 0.704 0.809
Co12 0.837 0.579 0.127
Co13 0.928 0.072 0.500
Si1 0.255 0.255 0.786
Si2 0.745 0.745 0.214
Sb1 0.359 0.641 0.500
Sb2 0.641 0.359 0.500
O1 0.038 0.621 0.109
O2 0.070 0.181 0.846
O3 0.090 0.377 0.620
O4 0.096 0.510 0.393
O5 0.181 0.070 0.846
O6 0.204 0.204 0.610
O7 0.215 0.469 0.095
O8 0.225 0.378 0.396
O9 0.377 0.090 0.620
O10 0.378 0.225 0.396
O11 0.379 0.962 0.891
O12 0.450 0.450 0.156
O13 0.469 0.215 0.095
O14 0.490 0.904 0.607
O15 0.510 0.096 0.393
O16 0.531 0.785 0.905
O17 0.550 0.550 0.844
O18 0.621 0.038 0.109
O19 0.622 0.775 0.604
O20 0.623 0.910 0.380
O21 0.775 0.622 0.604
O22 0.785 0.531 0.905
O23 0.796 0.796 0.390
O24 0.819 0.930 0.154
O25 0.904 0.490 0.607
O26 0.910 0.623 0.380
O27 0.930 0.819 0.154
O28 0.962 0.379 0.891

The 10 most intense peaks (10 to 90 degrees two-theta), low angle first:
28.38 deg, I = 100
30.99 deg, I = 47
32.53 deg, I = 25
33.24 deg, I = 78
35.07 deg, I = 71
35.60 deg, I = 23
44.40 deg, I = 24
52.16 deg, I = 20
55.88 deg, I = 19
56.68 deg, I = 39

Structure and theoretical PXRD pattern of Sr3CoSb2O9 (a structure optimized by DFT (GGA+U); Cu Kα, 1.54184 Å).
Neutral-atom scattering factors, no anomalous dispersion.

Atomic structure:
Cell: 9.910 9.910 9.910 Å, 146.59 131.23 60.41°
Element x y z (fractional)
Sr1 0.069 0.326 0.742
Sr2 0.231 0.000 0.231
Sr3 0.416 0.674 0.742
Sr4 0.584 0.326 0.258
Sr5 0.769 0.000 0.769
Sr6 0.931 0.674 0.258
Co1 0.167 0.167 0.000
Co2 0.833 0.833 0.000
Sb1 0.000 0.500 0.500
Sb2 0.333 0.833 0.500
Sb3 0.500 0.500 0.000
Sb4 0.667 0.167 0.500
O1 0.081 0.336 0.255
O2 0.081 0.826 0.745
O3 0.100 0.838 0.262
O4 0.252 0.001 0.749
O5 0.252 0.504 0.251
O6 0.255 0.500 0.755
O7 0.419 0.172 0.753
O8 0.419 0.666 0.247
O9 0.424 0.162 0.262
O10 0.576 0.838 0.738
O11 0.581 0.334 0.753
O12 0.581 0.828 0.247
O13 0.745 0.500 0.245
O14 0.748 0.496 0.749
O15 0.748 0.999 0.251
O16 0.900 0.162 0.738
O17 0.919 0.174 0.255
O18 0.919 0.664 0.745

The 10 most intense peaks (10 to 90 degrees two-theta), low angle first:
31.14 deg, I = 100
31.37 deg, I = 49
44.28 deg, I = 17
44.95 deg, I = 33
55.26 deg, I = 19
55.69 deg, I = 38
64.93 deg, I = 19
65.53 deg, I = 5
73.27 deg, I = 8
74.27 deg, I = 12

Please write out number 4 again, unchanged.
Structure and theoretical PXRD pattern of Sr3CoSb2O9 (a structure optimized by DFT (GGA+U); Cu Kα, 1.54184 Å).
Neutral-atom scattering factors, no anomalous dispersion.

Atomic structure:
Cell: 9.910 9.910 9.910 Å, 146.59 131.23 60.41°
Element x y z (fractional)
Sr1 0.069 0.326 0.742
Sr2 0.231 0.000 0.231
Sr3 0.416 0.674 0.742
Sr4 0.584 0.326 0.258
Sr5 0.769 0.000 0.769
Sr6 0.931 0.674 0.258
Co1 0.167 0.167 0.000
Co2 0.833 0.833 0.000
Sb1 0.000 0.500 0.500
Sb2 0.333 0.833 0.500
Sb3 0.500 0.500 0.000
Sb4 0.667 0.167 0.500
O1 0.081 0.336 0.255
O2 0.081 0.826 0.745
O3 0.100 0.838 0.262
O4 0.252 0.001 0.749
O5 0.252 0.504 0.251
O6 0.255 0.500 0.755
O7 0.419 0.172 0.753
O8 0.419 0.666 0.247
O9 0.424 0.162 0.262
O10 0.576 0.838 0.738
O11 0.581 0.334 0.753
O12 0.581 0.828 0.247
O13 0.745 0.500 0.245
O14 0.748 0.496 0.749
O15 0.748 0.999 0.251
O16 0.900 0.162 0.738
O17 0.919 0.174 0.255
O18 0.919 0.664 0.745

The 10 most intense peaks (10 to 90 degrees two-theta), low angle first:
31.14 deg, I = 100
31.37 deg, I = 49
44.28 deg, I = 17
44.95 deg, I = 33
55.26 deg, I = 19
55.69 deg, I = 38
64.93 deg, I = 19
65.53 deg, I = 5
73.27 deg, I = 8
74.27 deg, I = 12